Structure and theoretical X-ray powder pattern of Os2C6SO6 (a DFT-relaxed cell (GGA-PBE, the Materials Project); CuKα).
Neutral-atom scattering factors, no anomalous dispersion.

Cell and atoms:
Cell: 8.572 9.317 14.502 Å, 80.60 86.03 68.30°
Positions (direct):
Os: 0.034 0.190 0.279
Os: 0.139 0.035 0.762
Os: 0.285 0.742 0.611
Os: 0.291 0.694 0.823
Os: 0.709 0.306 0.177
Os: 0.715 0.258 0.389
Os: 0.861 0.965 0.238
Os: 0.966 0.810 0.721
C: 0.032 0.383 0.207
C: 0.081 0.839 0.199
C: 0.138 0.705 0.924
C: 0.162 0.213 0.372
C: 0.170 0.656 0.539
C: 0.186 0.211 0.701
C: 0.229 0.032 0.881
C: 0.233 0.074 0.217
C: 0.349 0.475 0.831
C: 0.382 0.822 0.502
C: 0.465 0.544 0.631
C: 0.475 0.661 0.899
C: 0.525 0.339 0.101
C: 0.535 0.456 0.369
C: 0.618 0.178 0.498
C: 0.651 0.525 0.169
C: 0.767 0.926 0.783
C: 0.771 0.968 0.119
C: 0.814 0.789 0.299
C: 0.830 0.344 0.461
C: 0.838 0.787 0.628
C: 0.862 0.295 0.076
C: 0.919 0.161 0.801
C: 0.968 0.617 0.793
S: 0.051 0.994 0.615
S: 0.412 0.850 0.715
S: 0.588 0.150 0.285
S: 0.949 0.006 0.385
O: 0.037 0.501 0.170
O: 0.050 0.712 0.990
O: 0.111 0.602 0.491
O: 0.210 0.758 0.174
O: 0.216 0.317 0.661
O: 0.239 0.231 0.430
O: 0.288 0.032 0.951
O: 0.355 0.005 0.180
O: 0.383 0.341 0.837
O: 0.408 0.359 0.057
O: 0.421 0.575 0.360
O: 0.441 0.872 0.437
O: 0.559 0.128 0.563
O: 0.579 0.425 0.640
O: 0.592 0.641 0.943
O: 0.617 0.659 0.163
O: 0.645 0.995 0.820
O: 0.712 0.968 0.049
O: 0.761 0.769 0.570
O: 0.784 0.683 0.339
O: 0.790 0.242 0.826
O: 0.889 0.398 0.509
O: 0.950 0.288 0.010
O: 0.963 0.499 0.830

Principal peaks in the range 2θ = 10–90°, sorted by position:
- 8.561 Å, intensity 191, hkl 0 1 0
- 7.880 Å, intensity 834, hkl 0 1 1
- 7.307 Å, intensity 855, hkl 1 1 0
- 7.153 Å, intensity 679, hkl 0 0 2
- 6.987 Å, intensity 466, hkl 1 0 1
- 6.920 Å, intensity 1000, hkl 1 0 -1
- 5.127 Å, intensity 194, hkl 0 1 -2
- 2.749 Å, intensity 216, hkl 2 2 4